Starting from a DFT-relaxed cell (GGA-PBE, the Materials Project), the PXRD pattern of EuPbAu2 was computed for copper Kα.

The 6 most intense peaks (2θ = 10–80°), most intense first:
34.81°, I 100.0
62.41°, I 37.7
50.05°, I 18.1
73.49°, I 11.8
21.11°, I 1.0
41.07°, I 0.6

Atomic structure:
```
EuPbAu2
1.0
0.0000 3.6447 3.6447
3.6447 0.0000 3.6447
3.6447 3.6447 0.0000
Eu Pb Au
1 1 2
direct
0.0000 0.0000 0.0000 Eu
0.5000 0.5000 0.5000 Pb
0.2500 0.2500 0.2500 Au
0.7500 0.7500 0.7500 Au
```